(1)
Sr3Fe2O5: simulated powder diffraction line list (Cu Kα (λ = 1.5418 Å)), based on a PBE+U-relaxed structure.
Lines closer than 0.1° are merged.

Atomic structure:
a = 10.9456 Å, b = 10.9456 Å, c = 10.9456 Å
α = 161.43°, β = 158.81°, γ = 28.32°
Sites, in units of the cell vectors:
Sr1 0.0000 0.0000 0.0000
Sr2 0.1884 0.1884 0.0000
Sr3 0.8116 0.8116 0.0000
Fe1 0.4031 0.4031 0.0000
Fe2 0.5969 0.5969 0.0000
O1 0.0962 0.5962 0.5000
O2 0.3068 0.3068 0.0000
O3 0.5000 0.5000 0.0000
O4 0.6932 0.6932 0.0000
O5 0.9038 0.4038 0.5000

Principal peaks in the range 10 to 80 degrees two-theta, by angle:
30.61°, rel. 65.2
32.99°, rel. 82.0
33.76°, rel. 100.0
42.59°, rel. 44.4
45.05°, rel. 28.3
51.76°, rel. 20.3
55.42°, rel. 34.2
56.96°, rel. 33.2
61.34°, rel. 19.5
71.00°, rel. 14.7

(2)
Sr4Fe4O11: simulated powder diffraction line list (Cu Kα (λ = 1.5418 Å)), based on a PBE+U-relaxed structure.
Lines closer than 0.1° are merged.

Atomic structure:
a = 5.5795 Å, b = 11.1077 Å, c = 7.8557 Å
α = 90.00°, β = 90.00°, γ = 90.00°
Sites, in units of the cell vectors:
Sr1 0.2392 0.1274 0.2418
Sr2 0.2392 0.1274 0.7582
Sr3 0.2608 0.6274 0.2582
Sr4 0.2608 0.6274 0.7418
Sr5 0.7392 0.3726 0.2582
Sr6 0.7392 0.3726 0.7418
Sr7 0.7608 0.8726 0.2418
Sr8 0.7608 0.8726 0.7582
Fe1 0.2353 0.8675 0.5000
Fe2 0.2448 0.3777 0.5000
Fe3 0.2552 0.8777 0.0000
Fe4 0.2647 0.3675 0.0000
Fe5 0.7353 0.6325 0.0000
Fe6 0.7448 0.1223 0.0000
Fe7 0.7552 0.6223 0.5000
Fe8 0.7647 0.1325 0.5000
O1 0.0000 0.0000 0.0000
O2 0.0000 0.0000 0.5000
O3 0.0000 0.5000 0.5000
O4 0.0069 0.7433 0.5000
O5 0.0204 0.7418 0.0000
O6 0.2245 0.3883 0.2375
O7 0.2245 0.3883 0.7625
O8 0.2755 0.8883 0.2625
O9 0.2755 0.8883 0.7375
O10 0.4796 0.2418 0.5000
O11 0.4931 0.2433 0.0000
O12 0.5000 0.0000 0.0000
O13 0.5000 0.5000 0.0000
O14 0.5000 0.5000 0.5000
O15 0.5069 0.7567 0.0000
O16 0.5204 0.7582 0.5000
O17 0.7245 0.1117 0.2625
O18 0.7245 0.1117 0.7375
O19 0.7755 0.6117 0.2375
O20 0.7755 0.6117 0.7625
O21 0.9796 0.2582 0.0000
O22 0.9931 0.2567 0.5000

Principal peaks in the range 10 to 80 degrees two-theta, by angle:
32.08°, rel. 20.9
32.20°, rel. 100.0
39.63°, rel. 6.8
39.75°, rel. 6.8
46.12°, rel. 28.6
46.23°, rel. 14.4
57.26°, rel. 14.9
57.44°, rel. 29.9
67.38°, rel. 20.0
76.69°, rel. 9.2

(3)
Sr3TiFe2O8: simulated powder diffraction line list (Cu Kα (λ = 1.5418 Å)), based on a PBE+U-relaxed structure.
Lines closer than 0.1° are merged.

Atomic structure:
a = 5.6580 Å, b = 5.6580 Å, c = 7.1870 Å
α = 90.00°, β = 90.00°, γ = 120.00°
Sites, in units of the cell vectors:
Sr1 0.0000 0.0000 0.0000
Sr2 0.3333 0.6667 0.6388
Sr3 0.6667 0.3333 0.3612
Ti1 0.0000 0.0000 0.5000
Fe1 0.3333 0.6667 0.2079
Fe2 0.6667 0.3333 0.7921
O1 0.1610 0.3221 0.3346
O2 0.1610 0.8390 0.3346
O3 0.3221 0.1610 0.6654
O4 0.3333 0.6667 0.9583
O5 0.6667 0.3333 0.0417
O6 0.6779 0.8390 0.3346
O7 0.8390 0.1610 0.6654
O8 0.8390 0.6779 0.6654

Principal peaks in the range 10 to 80 degrees two-theta, by angle:
30.86°, rel. 66.7
31.63°, rel. 100.0
38.83°, rel. 11.0
41.98°, rel. 13.6
44.77°, rel. 44.4
54.39°, rel. 11.1
55.85°, rel. 25.0
56.33°, rel. 18.1
64.29°, rel. 11.6
66.05°, rel. 16.9

(4)
Sr5Ti4FeO15: simulated powder diffraction line list (Cu Kα (λ = 1.5418 Å)), based on a PBE+U-relaxed structure.
Lines closer than 0.1° are merged.

Atomic structure:
a = 8.7740 Å, b = 8.7740 Å, c = 6.7984 Å
α = 104.98°, β = 104.98°, γ = 36.79°
Sites, in units of the cell vectors:
Sr1 0.0000 0.0000 0.0000
Sr2 0.1981 0.1981 0.7980
Sr3 0.4024 0.4024 0.5980
Sr4 0.5976 0.5976 0.4020
Sr5 0.8019 0.8019 0.2020
Ti1 0.1992 0.1992 0.3022
Ti2 0.3997 0.3997 0.0998
Ti3 0.6003 0.6003 0.9002
Ti4 0.8008 0.8008 0.6978
Fe1 0.0000 0.0000 0.5000
O1 0.0000 0.5000 0.5000
O2 0.0987 0.0987 0.3990
O3 0.1017 0.5995 0.9036
O4 0.1958 0.7053 0.3044
O5 0.2947 0.8042 0.6956
O6 0.2992 0.2992 0.2017
O7 0.4005 0.8983 0.0964
O8 0.5000 0.0000 0.5000
O9 0.5000 0.5000 0.0000
O10 0.5995 0.1017 0.9036
O11 0.7008 0.7008 0.7983
O12 0.7053 0.1958 0.3044
O13 0.8042 0.2947 0.6956
O14 0.8983 0.4005 0.0964
O15 0.9013 0.9013 0.6010

Principal peaks in the range 10 to 80 degrees two-theta, by angle:
22.67°, rel. 3.0
32.28°, rel. 100.0
39.81°, rel. 19.2
46.30°, rel. 40.6
57.54°, rel. 25.0
57.63°, rel. 12.5
67.54°, rel. 19.2
67.68°, rel. 3.9
76.84°, rel. 10.7
76.94°, rel. 5.4